No. 1
Starting from a structure optimized by DFT (GGA-PBE), the XRD peak list of K2PmTeS4 was computed for Cu Ka.
Lines closer than 0.1° are merged.

Crystal structure
a b c (Å): 8.3510 8.3510 8.3790
angles (deg): 117.23 117.23 89.86
Positions (direct):
K 0.0000 0.0000 0.0000
K 0.0000 0.0000 0.5000
K 0.0000 0.5000 0.0000
K 0.5000 0.0000 0.5000
Pm 0.5000 0.5000 0.0000
Pm 0.5000 0.5000 0.5000
Te 0.0000 0.5000 0.5000
Te 0.5000 0.0000 0.0000
S 0.2295 0.7052 0.4879
S 0.2645 0.3035 0.5499
S 0.2948 0.7705 0.0121
S 0.3035 0.2645 0.0499
S 0.6965 0.7355 0.9501
S 0.7052 0.2295 0.9879
S 0.7355 0.6965 0.4501
S 0.7705 0.2948 0.5121

Principal peaks in the range 2θ from 10° to 90°, by angle:
2theta, d (Å), I (rel.)
12.4, 7.166, 57
13.0, 6.816, 33
24.8, 3.583, 39
26.1, 3.408, 32
27.9, 3.197, 63
30.3, 2.948, 100
40.0, 2.256, 20
41.7, 2.168, 38
43.4, 2.086, 52
51.0, 1.792, 18
53.8, 1.704, 19
71.6, 1.318, 12

***

No. 2
Starting from a structure optimized by DFT (GGA-PBE), the XRD peak list of Tl7Hg5Pb was computed for Cu Ka.
Lines closer than 0.1° are merged.

Crystal structure
a b c (Å): 8.8256 8.8256 5.6094
angles (deg): 107.73 107.73 94.57
Positions (direct):
Tl 0.0000 0.0000 0.0000
Tl 0.0140 0.4398 0.2137
Tl 0.4398 0.0140 0.2137
Tl 0.5178 0.5178 0.0330
Tl 0.5496 0.7968 0.6782
Tl 0.7968 0.5496 0.6782
Tl 0.8156 0.8156 0.3197
Hg 0.1877 0.6447 0.8916
Hg 0.1920 0.8304 0.4853
Hg 0.3724 0.3724 0.3872
Hg 0.6447 0.1877 0.8916
Hg 0.8304 0.1920 0.4853
Pb 0.2043 0.2043 0.7131

Principal peaks in the range 2θ from 10° to 90°, by angle:
2theta, d (Å), I (rel.)
27.5, 3.242, 28
30.0, 2.980, 21
30.8, 2.902, 62
31.2, 2.866, 51
31.9, 2.804, 100
32.3, 2.773, 18
32.5, 2.752, 99
32.9, 2.722, 20
33.1, 2.708, 97
35.6, 2.521, 21
56.9, 1.618, 18
65.2, 1.430, 19

***

No. 3
Starting from a structure optimized by DFT (GGA-PBE), the XRD peak list of RbLi4Np3O12 was computed for Cu Ka.
Lines closer than 0.1° are merged.

Crystal structure
a b c (Å): 7.1578 7.1578 7.1578
angles (deg): 106.53 106.53 106.53
Positions (direct):
Rb 0.0000 0.0000 0.0000
Li 0.0640 0.5000 0.9360
Li 0.5000 0.5000 0.5000
Li 0.5000 0.9360 0.0640
Li 0.9360 0.0640 0.5000
Np 0.0000 0.5602 0.4398
Np 0.4398 0.0000 0.5602
Np 0.5602 0.4398 0.0000
O 0.0451 0.6286 0.7346
O 0.1076 0.8924 0.5000
O 0.2654 0.3714 0.9549
O 0.3328 0.6672 0.5000
O 0.3714 0.9549 0.2654
O 0.5000 0.1076 0.8924
O 0.5000 0.3328 0.6672
O 0.6286 0.7346 0.0451
O 0.6672 0.5000 0.3328
O 0.7346 0.0451 0.6286
O 0.8924 0.5000 0.1076
O 0.9549 0.2654 0.3714

Principal peaks in the range 2θ from 10° to 90°, by angle:
2theta, d (Å), I (rel.)
15.4, 5.736, 74
20.9, 4.240, 100
26.1, 3.410, 28
28.3, 3.148, 54
31.2, 2.868, 16
34.4, 2.610, 29
36.6, 2.453, 14
39.5, 2.282, 42
52.5, 1.743, 14
54.1, 1.694, 13
56.2, 1.637, 15
70.2, 1.341, 15

***

No. 4
Starting from a structure optimized by DFT (GGA-PBE), the XRD peak list of La2Nd4Hg3O2 was computed for Cu Ka.
Lines closer than 0.1° are merged.

Crystal structure
a b c (Å): 12.5398 12.5398 12.5398
angles (deg): 157.01 157.01 32.73
Positions (direct):
La 0.2006 0.2006 0.0000
La 0.7994 0.7994 0.0000
Nd 0.0837 0.5837 0.5000
Nd 0.4163 0.9163 0.5000
Nd 0.5837 0.0837 0.5000
Nd 0.9163 0.4163 0.5000
Hg 0.3314 0.3314 0.0000
Hg 0.5000 0.5000 0.0000
Hg 0.6686 0.6686 0.0000
O 0.1037 0.1037 0.0000
O 0.8963 0.8963 0.0000

Principal peaks in the range 2θ from 10° to 90°, by angle:
2theta, d (Å), I (rel.)
18.1, 4.893, 23
26.3, 3.390, 33
29.3, 3.047, 13
31.6, 2.832, 28
33.8, 2.651, 100
35.9, 2.499, 62
48.6, 1.874, 17
51.7, 1.767, 22
52.8, 1.734, 14
59.1, 1.564, 16
63.2, 1.470, 33
76.2, 1.250, 13

***

No. 5
Starting from a structure optimized by DFT (GGA-PBE), the XRD peak list of Sr2BiPbO5 was computed for Cu Ka.
Lines closer than 0.1° are merged.

Crystal structure
a b c (Å): 3.8152 11.8701 7.5897
angles (deg): 90.00 101.25 90.00
Positions (direct):
Sr 0.1780 0.0000 0.2549
Sr 0.2609 0.5111 0.2724
Sr 0.7391 0.0111 0.7276
Sr 0.8220 0.5000 0.7451
Bi 0.0873 0.2413 0.4777
Bi 0.9127 0.7413 0.5223
Pb 0.4638 0.2551 0.0092
Pb 0.5362 0.7551 0.9908
O 0.0369 0.2174 0.1598
O 0.2584 0.1518 0.7696
O 0.2681 0.8875 0.5414
O 0.2929 0.6045 0.5678
O 0.3900 0.4334 0.9444
O 0.6100 0.9334 0.0556
O 0.7071 0.1045 0.4322
O 0.7319 0.3875 0.4586
O 0.7416 0.6518 0.2304
O 0.9631 0.7174 0.8402

Principal peaks in the range 2θ from 10° to 90°, by angle:
2theta, d (Å), I (rel.)
14.9, 5.935, 32
23.9, 3.722, 12
28.3, 3.153, 80
28.8, 3.105, 100
30.1, 2.968, 34
39.5, 2.283, 14
42.1, 2.147, 30
50.3, 1.813, 20
50.4, 1.810, 11
51.2, 1.784, 10
52.4, 1.747, 18
52.7, 1.738, 13

***

No. 6
Starting from a structure optimized by DFT (GGA-PBE), the XRD peak list of KHg6S8 was computed for Cu Ka.
Lines closer than 0.1° are merged.

Crystal structure
a b c (Å): 7.3243 7.3243 7.3243
angles (deg): 95.83 95.83 95.83
Positions (direct):
K 0.0000 0.0000 0.0000
Hg 0.1710 0.3039 0.6064
Hg 0.3038 0.6064 0.1710
Hg 0.3936 0.8290 0.6961
Hg 0.6064 0.1710 0.3038
Hg 0.6962 0.3936 0.8290
Hg 0.8290 0.6962 0.3936
S 0.1644 0.8311 0.3940
S 0.1689 0.6060 0.8356
S 0.2924 0.2924 0.2924
S 0.3940 0.1644 0.8311
S 0.6060 0.8356 0.1689
S 0.7076 0.7076 0.7076
S 0.8311 0.3940 0.1644
S 0.8356 0.1689 0.6060

Principal peaks in the range 2θ from 10° to 90°, by angle:
2theta, d (Å), I (rel.)
12.2, 7.240, 22
23.6, 3.775, 34
24.6, 3.620, 25
26.3, 3.395, 96
29.7, 3.013, 100
40.7, 2.216, 32
44.1, 2.054, 37
50.6, 1.805, 39
52.0, 1.758, 21
54.0, 1.697, 15
67.3, 1.390, 12
70.5, 1.336, 16

***

No. 7
Starting from a structure optimized by DFT (GGA-PBE), the XRD peak list of Ce6PuGa3 was computed for Cu Ka.
Lines closer than 0.1° are merged.

Crystal structure
a b c (Å): 8.0733 8.0733 8.0733
angles (deg): 76.13 76.13 76.13
Positions (direct):
Ce 0.1455 0.8004 0.8004
Ce 0.1799 0.5282 0.5282
Ce 0.1996 0.1996 0.8545
Ce 0.1996 0.8545 0.1996
Ce 0.4718 0.4718 0.8201
Ce 0.4718 0.8201 0.4718
Ce 0.5282 0.1799 0.5282
Ce 0.5282 0.5282 0.1799
Ce 0.8004 0.1455 0.8004
Ce 0.8004 0.8004 0.1455
Ce 0.8201 0.4718 0.4718
Ce 0.8545 0.1996 0.1996
Pu 0.0000 0.0000 0.0000
Pu 0.5000 0.5000 0.5000
Ga 0.1567 0.1567 0.4551
Ga 0.1567 0.4551 0.1567
Ga 0.4551 0.1567 0.1567
Ga 0.5449 0.8433 0.8433
Ga 0.8433 0.5449 0.8433
Ga 0.8433 0.8433 0.5449

Principal peaks in the range 2θ from 10° to 90°, by angle:
2theta, d (Å), I (rel.)
14.6, 6.054, 45
17.8, 4.978, 16
29.5, 3.027, 10
31.6, 2.835, 18
34.7, 2.586, 15
35.0, 2.563, 100
44.9, 2.018, 35
47.2, 1.926, 11
55.4, 1.659, 26
58.4, 1.579, 22
65.1, 1.432, 11
67.2, 1.393, 13

***

No. 8
Starting from a structure optimized by DFT (GGA-PBE), the XRD peak list of CeNdSm2Y was computed for Cu Ka.
Lines closer than 0.1° are merged.

Crystal structure
a b c (Å): 6.0142 7.8101 7.2122
angles (deg): 90.00 90.00 90.00
Positions (direct):
Ce 0.0000 0.0000 0.0000
Ce 0.5000 0.0000 0.0000
Nd 0.2500 0.5000 0.1614
Nd 0.7500 0.5000 0.8386
Sm 0.2500 0.2905 0.6851
Sm 0.2500 0.7095 0.6851
Sm 0.7500 0.2905 0.3149
Sm 0.7500 0.7095 0.3149
Y 0.2500 0.0000 0.3911
Y 0.7500 0.0000 0.6089

Principal peaks in the range 2θ from 10° to 90°, by angle:
2theta, d (Å), I (rel.)
25.9, 3.434, 25
27.2, 3.274, 27
28.9, 3.093, 21
29.7, 3.007, 23
30.0, 2.982, 100
31.1, 2.875, 38
31.9, 2.806, 17
34.3, 2.615, 26
39.0, 2.309, 21
47.9, 1.899, 21
52.9, 1.731, 20
54.2, 1.692, 27

***

No. 9
Starting from a structure optimized by DFT (GGA-PBE), the XRD peak list of As2HPd2 was computed for Cu Ka.
Lines closer than 0.1° are merged.

Crystal structure
a b c (Å): 5.4279 5.4279 5.0838
angles (deg): 90.00 90.00 90.00
Positions (direct):
As 0.2359 0.2641 0.0000
As 0.2641 0.7641 0.0000
As 0.7359 0.2359 0.0000
As 0.7641 0.7359 0.0000
H 0.0000 0.0000 0.5000
H 0.5000 0.5000 0.5000
Pd 0.2064 0.2936 0.5000
Pd 0.2936 0.7936 0.5000
Pd 0.7064 0.2064 0.5000
Pd 0.7936 0.7064 0.5000

Principal peaks in the range 2θ from 10° to 90°, by angle:
2theta, d (Å), I (rel.)
33.0, 2.714, 100
35.3, 2.542, 51
37.0, 2.427, 24
41.2, 2.191, 13
47.4, 1.919, 30
49.1, 1.855, 64
52.1, 1.756, 18
60.4, 1.532, 29
71.7, 1.316, 10
82.5, 1.169, 14
84.1, 1.151, 13
89.5, 1.095, 11

***

No. 10
Starting from a structure optimized by DFT (GGA-PBE), the XRD peak list of Pa4SiRh12 was computed for Cu Ka.
Lines closer than 0.1° are merged.

Crystal structure
a b c (Å): 7.1706 7.1706 7.1706
angles (deg): 109.47 109.47 109.47
Positions (direct):
Pa 0.0000 0.0000 0.5000
Pa 0.0000 0.5000 0.0000
Pa 0.5000 0.0000 0.0000
Pa 0.5000 0.5000 0.5000
Si 0.0000 0.0000 0.0000
Rh 0.0000 0.2761 0.2761
Rh 0.0000 0.7239 0.7239
Rh 0.2500 0.5000 0.7500
Rh 0.2500 0.7500 0.5000
Rh 0.2761 0.0000 0.2761
Rh 0.2761 0.2761 0.0000
Rh 0.5000 0.2500 0.7500
Rh 0.5000 0.7500 0.2500
Rh 0.7239 0.0000 0.7239
Rh 0.7239 0.7239 0.0000
Rh 0.7500 0.2500 0.5000
Rh 0.7500 0.5000 0.2500

Principal peaks in the range 2θ from 10° to 90°, by angle:
2theta, d (Å), I (rel.)
21.5, 4.140, 12
30.5, 2.927, 16
37.6, 2.390, 100
43.7, 2.070, 51
49.2, 1.851, 8
54.3, 1.690, 6
63.6, 1.464, 32
67.9, 1.380, 4
72.2, 1.309, 4
76.3, 1.248, 35
80.3, 1.195, 11
88.3, 1.106, 5

***

No. 11
Starting from a structure optimized by DFT (GGA-PBE), the XRD peak list of TlP2Pt7Pb2 was computed for Cu Ka.
Lines closer than 0.1° are merged.

Crystal structure
a b c (Å): 15.4914 15.4914 15.4914
angles (deg): 165.32 165.32 20.81
Positions (direct):
Tl 0.0000 0.0000 0.0000
P 0.3839 0.3839 0.0000
P 0.6161 0.6161 0.0000
Pt 0.0744 0.5744 0.5000
Pt 0.3087 0.3087 0.0000
Pt 0.4256 0.9256 0.5000
Pt 0.5000 0.5000 0.0000
Pt 0.5744 0.0744 0.5000
Pt 0.6913 0.6913 0.0000
Pt 0.9256 0.4256 0.5000
Pb 0.2111 0.2111 0.0000
Pb 0.7889 0.7889 0.0000

Principal peaks in the range 2θ from 10° to 90°, by angle:
2theta, d (Å), I (rel.)
11.6, 7.618, 30
23.4, 3.809, 24
29.3, 3.047, 30
32.5, 2.752, 41
34.1, 2.627, 50
36.7, 2.451, 100
43.9, 2.061, 44
45.9, 1.979, 66
55.4, 1.660, 20
63.5, 1.464, 22
66.9, 1.399, 22
78.8, 1.215, 23

***

No. 12
Starting from a structure optimized by DFT (GGA-PBE), the XRD peak list of Y2P7Ir12 was computed for Cu Ka.
Lines closer than 0.1° are merged.

Crystal structure
a b c (Å): 9.6084 9.6084 3.9635
angles (deg): 90.00 90.00 120.00
Positions (direct):
Y 0.3333 0.6667 0.2516
Y 0.6667 0.3333 0.7484
P 0.0000 0.0000 0.0000
P 0.1251 0.4080 0.7455
P 0.2829 0.8749 0.7455
P 0.4080 0.2829 0.2545
P 0.5920 0.7171 0.7455
P 0.7171 0.1251 0.2545
P 0.8749 0.5920 0.2545
Ir 0.0703 0.6156 0.7529
Ir 0.1057 0.8427 0.2597
Ir 0.1573 0.2630 0.2597
Ir 0.2630 0.1057 0.7403
Ir 0.3844 0.4547 0.7529
Ir 0.4547 0.0703 0.2471
Ir 0.5453 0.9297 0.7529
Ir 0.6156 0.5453 0.2471
Ir 0.7370 0.8943 0.2597
Ir 0.8427 0.7370 0.7403
Ir 0.8943 0.1573 0.7403
Ir 0.9297 0.3844 0.2471

Principal peaks in the range 2θ from 10° to 90°, by angle:
2theta, d (Å), I (rel.)
18.5, 4.804, 11
28.4, 3.145, 19
36.5, 2.464, 100
45.5, 1.994, 12
45.8, 1.982, 16
47.6, 1.909, 13
50.2, 1.816, 20
54.7, 1.677, 7
68.2, 1.375, 8
70.3, 1.339, 14
78.5, 1.218, 11
85.2, 1.139, 11